[1]
This entry pairs a crystal structure of Ti6Al16Ir7 with its computed XRD peak list. Radiation: CuKα. Structure: a cell relaxed with PBE.
Neutral-atom scattering factors, no anomalous dispersion.

Atomic structure:
```
data_Ti6Al16Ir7
_cell_length_a 8.5908
_cell_length_b 8.5908
_cell_length_c 8.5908
_cell_angle_alpha 60.00
_cell_angle_beta 60.00
_cell_angle_gamma 60.00
_space_group_name_H-M_alt 'P 1'
_space_group_IT_number 1
loop_
_space_group_symop_operation_xyz
'x,y,z'
loop_
_atom_site_label
_atom_site_fract_x
_atom_site_fract_y
_atom_site_fract_z
Ti1 0.1790 0.1790 0.8210
Ti2 0.1790 0.8210 0.1790
Ti3 0.1790 0.8210 0.8210
Ti4 0.8210 0.1790 0.1790
Ti5 0.8210 0.1790 0.8210
Ti6 0.8210 0.8210 0.1790
Al1 0.1385 0.6205 0.6205
Al2 0.1571 0.1571 0.1571
Al3 0.1571 0.1571 0.5288
Al4 0.1571 0.5288 0.1571
Al5 0.3795 0.3795 0.3795
Al6 0.3795 0.3795 0.8615
Al7 0.3795 0.8615 0.3795
Al8 0.4712 0.8429 0.8429
Al9 0.5288 0.1571 0.1571
Al10 0.6205 0.1385 0.6205
Al11 0.6205 0.6205 0.1385
Al12 0.6205 0.6205 0.6205
Al13 0.8429 0.4712 0.8429
Al14 0.8429 0.8429 0.4712
Al15 0.8429 0.8429 0.8429
Al16 0.8615 0.3795 0.3795
Ir1 0.0000 0.0000 0.5000
Ir2 0.0000 0.5000 0.0000
Ir3 0.0000 0.5000 0.5000
Ir4 0.5000 0.0000 0.0000
Ir5 0.5000 0.0000 0.5000
Ir6 0.5000 0.5000 0.0000
Ir7 0.5000 0.5000 0.5000
```

Most intense lines, 10° ≤ 2θ ≤ 80°, low angle first:
2θ/deg, Rel. int.
25.4, 100
29.4, 52
36.2, 12
42.1, 90
49.8, 68
52.2, 11
61.0, 14
67.2, 29
69.2, 18
76.9, 22

---

[2]
This entry pairs a crystal structure of ErAgS2 with its computed XRD peak list. Radiation: CuKα. Structure: a cell relaxed with PBE.
Neutral-atom scattering factors, no anomalous dispersion.

Atomic structure:
```
data_ErAgS2
_cell_length_a 7.1079
_cell_length_b 7.1079
_cell_length_c 7.1079
_cell_angle_alpha 135.37
_cell_angle_beta 135.37
_cell_angle_gamma 64.95
_space_group_name_H-M_alt 'P 1'
_space_group_IT_number 1
loop_
_space_group_symop_operation_xyz
'x,y,z'
loop_
_atom_site_label
_atom_site_fract_x
_atom_site_fract_y
_atom_site_fract_z
Er1 0.0000 0.0000 0.0000
Er2 0.7500 0.2500 0.5000
Ag1 0.2176 0.7176 0.5000
Ag2 0.4676 0.4676 0.0000
S1 0.2305 0.2305 0.0000
S2 0.5249 0.0249 0.5000
S3 0.7749 0.7749 0.0000
S4 0.9805 0.4805 0.5000
```

Most intense lines, 10° ≤ 2θ ≤ 80°, low angle first:
2θ/deg, Rel. int.
18.0, 14
27.7, 100
29.8, 43
33.2, 80
45.2, 53
47.7, 28
51.6, 15
56.0, 28
57.2, 26
79.4, 12